This entry pairs a crystal structure of Er3Sn2 with its theoretical powder X-ray diffraction pattern. Radiation: Cu Kα, 1.54184 Å. Structure: a DFT-relaxed cell (GGA-PBE, Alexandria).
Intensities are scaled so that the largest is 100.

Most intense lines, 2θ from 10° to 80°, sorted by position:
Position (°2θ)	I_rel
26.82	42
27.48	58
29.88	75
31.15	35
31.27	100
31.51	53
32.19	54
34.09	44
34.42	75
35.05	40
37.48	50
41.33	73

Crystal structure
abc: 11.870 4.369 11.351
angles: 90.00 90.00 90.00
Space group Pnma (No. 62)
One atom of each set of equivalent atoms:
Er (0.053, 0.250, 0.131) [4 per cell]
Er (0.128, 0.750, 0.560) [4 per cell]
Er (0.226, 0.250, 0.792) [4 per cell]
Sn (0.011, 0.750, 0.317) [4 per cell]
Sn (0.189, 0.750, 0.994) [4 per cell]

=====

This entry pairs a crystal structure of Li4SmIn4 with its theoretical powder X-ray diffraction pattern. Radiation: Cu Kα, 1.54184 Å. Structure: a DFT-relaxed cell (GGA-PBE, Alexandria).
Intensities are scaled so that the largest is 100.

Most intense lines, 2θ from 10° to 80°, sorted by position:
Position (°2θ)	I_rel
16.68	18
17.90	30
26.92	23
29.77	100
30.55	37
33.07	36
36.25	14
39.54	34
44.62	50
56.79	22
58.65	14
67.15	17

Crystal structure
abc: 6.297 6.297 9.913
angles: 90.00 90.00 90.00
Space group P4_2/nmc (No. 137, origin choice 2)
One atom of each set of equivalent atoms:
Li (0.033, 0.250, 0.177) [8 per cell]
Sm (0.250, 0.750, 0.250) [2 per cell]
In (0.016, 0.250, 0.464) [8 per cell]

=====

This entry pairs a crystal structure of Nd6IrPb3 with its theoretical powder X-ray diffraction pattern. Radiation: Cu Kα, 1.54184 Å. Structure: a DFT-relaxed cell (GGA-PBE, Alexandria).
Intensities are scaled so that the largest is 100.

Most intense lines, 2θ from 10° to 80°, sorted by position:
Position (°2θ)	I_rel
28.69	28
28.98	42
29.31	38
29.90	38
30.49	33
31.08	80
31.99	48
32.87	100
33.29	25
33.74	27
34.38	23
46.14	32

Crystal structure
abc: 6.384 9.039 12.672
angles: 90.00 117.97 90.00
Space group P2_1/c (No. 14)
One atom of each set of equivalent atoms:
Nd (0.063, 0.156, 0.442) [4 per cell]
Nd (0.340, 0.695, 0.438) [4 per cell]
Nd (0.400, 0.046, 0.267) [4 per cell]
Ir (0.500, 0.000, 0.500) [2 per cell]
Pb (0.000, 0.000, 0.000) [2 per cell]
Pb (0.165, 0.117, 0.762) [4 per cell]

=====

This entry pairs a crystal structure of Yb6Zr with its theoretical powder X-ray diffraction pattern. Radiation: Cu Kα, 1.54184 Å. Structure: a DFT-relaxed cell (GGA-PBE, Alexandria).
Intensities are scaled so that the largest is 100.

Most intense lines, 2θ from 10° to 80°, sorted by position:
Position (°2θ)	I_rel
15.29	58
21.69	41
26.64	100
34.61	16
38.04	60
41.22	62
44.21	42
49.76	18
62.03	19
64.30	28
70.88	19
77.21	23

Crystal structure
abc: 8.195 8.195 8.195
angles: 90.00 90.00 90.00
Space group Im-3m (No. 229)
One atom of each set of equivalent atoms:
Yb (0.000, 0.250, 0.500) [12 per cell]
Zr (0.000, 0.000, 0.000) [2 per cell]

=====

This entry pairs a crystal structure of Rb2PaAl2O6 with its theoretical powder X-ray diffraction pattern. Radiation: Cu Kα, 1.54184 Å. Structure: a DFT-relaxed cell (GGA-PBE, Alexandria).
Intensities are scaled so that the largest is 100.

Most intense lines, 2θ from 10° to 80°, sorted by position:
Position (°2θ)	I_rel
14.31	17
17.64	80
19.50	25
25.67	57
29.51	100
29.62	90
39.59	39
42.30	29
50.21	20
52.51	57
53.84	34
61.49	18

Crystal structure
abc: 10.448 6.032 7.103
angles: 90.00 119.38 90.00
Space group C2/m (No. 12)
One atom of each set of equivalent atoms:
Rb (0.214, 0.000, 0.144) [4 per cell]
Pa (0.000, 0.000, 0.500) [2 per cell]
Al (0.077, 0.500, 0.232) [4 per cell]
O (0.014, 0.254, 0.290) [8 per cell]
O (0.239, 0.000, 0.708) [4 per cell]

=====

This entry pairs a crystal structure of Be2OsAu with its theoretical powder X-ray diffraction pattern. Radiation: Cu Kα, 1.54184 Å. Structure: a DFT-relaxed cell (GGA-PBE, Alexandria).
Intensities are scaled so that the largest is 100.

Most intense lines, 2θ from 10° to 80°, sorted by position:
Position (°2θ)	I_rel
21.61	20
25.72	100
33.98	62
35.10	67
42.14	37
43.12	56
43.46	19
44.04	22
46.46	15
47.75	52
55.05	33
64.51	18

Crystal structure
abc: 8.898 2.678 4.266
angles: 90.00 105.42 90.00
Space group Cm (No. 8)
One atom of each set of equivalent atoms:
Be (0.000, 0.000, 0.000) [2 per cell]
Be (0.229, 0.500, 0.352) [2 per cell]
Os (0.477, 0.000, 0.474) [2 per cell]
Au (0.250, 0.000, 0.869) [2 per cell]